For ZrNbGa4, a DFT-relaxed cell (GGA-PBE, Alexandria) gives the simulated powder diffractogram in this record (Cu Ka).

Crystal structure
```
data_ZrNbGa4
_chemical_formula_sum 'Zr2 Nb2 Ga8'
_cell_length_a 4.0936
_cell_length_b 5.0518
_cell_length_c 10.2829
_cell_angle_alpha 90.00
_cell_angle_beta 90.00
_cell_angle_gamma 90.00
_symmetry_space_group_name_H-M 'C m m m'
_symmetry_Int_Tables_number 65
_symmetry_space_group_name_Hall '-C 2 2'
loop_
_atom_site_label
_atom_site_fract_x
_atom_site_fract_y
_atom_site_fract_z
Zr1 0.0000 0.0000 0.0000
Nb1 0.0000 0.5000 0.5000
Ga1 0.0000 0.0000 0.3311
Ga2 0.0000 0.5000 0.1817
```

The 12 most intense peaks (2θ = 10–80°), in order of falling intensity:
2θ = 38.62°, I = 100
2θ = 35.54°, I = 32
2θ = 65.87°, I = 29
2θ = 44.25°, I = 17
2θ = 58.00°, I = 15
2θ = 77.65°, I = 12
2θ = 53.46°, I = 9
2θ = 71.85°, I = 7
2θ = 75.24°, I = 3
2θ = 29.40°, I = 3
2θ = 70.64°, I = 2
2θ = 34.90°, I = 1

---

For NdGa6, a DFT-relaxed cell (GGA-PBE, Alexandria) gives the simulated powder diffractogram in this record (Cu Ka).

Crystal structure
```
data_NdGa6
_chemical_formula_sum 'Nd2 Ga12'
_cell_length_a 6.0539
_cell_length_b 6.0539
_cell_length_c 7.6744
_cell_angle_alpha 90.00
_cell_angle_beta 90.00
_cell_angle_gamma 90.00
_symmetry_space_group_name_H-M 'P 4/n b m'
_symmetry_Int_Tables_number 125
loop_
_symmetry_equiv_pos_as_xyz
'x,y,z'
'-x,-y,-z'
'-y+1/2,x,z'
'y+1/2,-x,-z'
'-x+1/2,-y+1/2,z'
'x+1/2,y+1/2,-z'
'y,-x+1/2,z'
'-y,x+1/2,-z'
'x,-y+1/2,-z'
'-x,y+1/2,z'
'-y+1/2,-x+1/2,-z'
'y+1/2,x+1/2,z'
'-x+1/2,y,-z'
'x+1/2,-y,z'
'y,x,-z'
'-y,-x,z'
loop_
_atom_site_label
_atom_site_fract_x
_atom_site_fract_y
_atom_site_fract_z
Nd1 0.2500 0.7500 0.0000
Ga1 0.0653 0.5653 0.3522
Ga2 0.2500 0.2500 0.1632
```

The 12 most intense peaks (2θ = 10–80°), in order of falling intensity:
2θ = 31.78°, I = 100
2θ = 41.11°, I = 48
2θ = 35.13°, I = 45
2θ = 42.22°, I = 36
2θ = 31.31°, I = 35
2θ = 40.79°, I = 31
2θ = 69.37°, I = 26
2θ = 53.49°, I = 23
2θ = 76.42°, I = 22
2θ = 68.41°, I = 12
2θ = 49.03°, I = 12
2θ = 60.38°, I = 11

---

For Nd13Ga2, a DFT-relaxed cell (GGA-PBE, Alexandria) gives the simulated powder diffractogram in this record (Cu Ka).

Crystal structure
```
data_Nd13Ga2
_chemical_formula_sum 'Nd13 Ga2'
_cell_length_a 6.7775
_cell_length_b 8.5268
_cell_length_c 9.7147
_cell_angle_alpha 64.52
_cell_angle_beta 81.63
_cell_angle_gamma 80.04
_symmetry_space_group_name_H-M 'P -1'
_symmetry_Int_Tables_number 2
loop_
_symmetry_equiv_pos_as_xyz
'x,y,z'
'-x,-y,-z'
loop_
_atom_site_label
_atom_site_fract_x
_atom_site_fract_y
_atom_site_fract_z
Nd1 0.0000 0.0000 0.0000
Nd2 0.0415 0.2185 0.3335
Nd3 0.1850 0.6446 0.3607
Nd4 0.2385 0.5806 0.0127
Nd5 0.2783 0.3500 0.7685
Nd6 0.4412 0.0633 0.1496
Nd7 0.4756 0.7701 0.5737
Ga1 0.1807 0.0588 0.6716
```

The 12 most intense peaks (2θ = 10–80°), in order of falling intensity:
2θ = 29.18°, I = 100
2θ = 29.48°, I = 48
2θ = 27.89°, I = 41
2θ = 30.65°, I = 40
2θ = 33.19°, I = 36
2θ = 31.26°, I = 32
2θ = 34.58°, I = 30
2θ = 32.52°, I = 25
2θ = 32.83°, I = 20
2θ = 32.12°, I = 18
2θ = 30.48°, I = 16
2θ = 31.42°, I = 14

---

For Nd4Ga3, a DFT-relaxed cell (GGA-PBE, Alexandria) gives the simulated powder diffractogram in this record (Cu Ka).

Crystal structure
```
data_Nd4Ga3
_chemical_formula_sum 'Nd24 Ga18'
_cell_length_a 13.9927
_cell_length_b 13.9927
_cell_length_c 6.5784
_cell_angle_alpha 90.00
_cell_angle_beta 90.00
_cell_angle_gamma 120.00
_symmetry_space_group_name_H-M 'R -3'
_symmetry_Int_Tables_number 148
_symmetry_space_group_name_Hall '-R 3'
loop_
_atom_site_label
_atom_site_fract_x
_atom_site_fract_y
_atom_site_fract_z
Nd1 0.0000 0.0000 0.0000
Nd2 0.0000 0.0000 0.5000
Nd3 0.0583 0.2596 0.1746
Ga1 0.0495 0.2206 0.7036
```

The 12 most intense peaks (2θ = 10–80°), in order of falling intensity:
2θ = 33.54°, I = 100
2θ = 33.90°, I = 91
2θ = 48.43°, I = 30
2θ = 60.43°, I = 26
2θ = 23.67°, I = 19
2θ = 59.74°, I = 15
2θ = 60.66°, I = 13
2θ = 70.50°, I = 11
2θ = 29.85°, I = 8
2θ = 71.33°, I = 6
2θ = 54.35°, I = 6
2θ = 35.04°, I = 5

---

For Nd4Ga3, a DFT-relaxed cell (GGA-PBE, Alexandria) gives the simulated powder diffractogram in this record (Cu Ka).

Crystal structure
```
data_Nd4Ga3
_chemical_formula_sum 'Nd16 Ga12'
_cell_length_a 9.1922
_cell_length_b 9.1922
_cell_length_c 9.1922
_cell_angle_alpha 90.00
_cell_angle_beta 90.00
_cell_angle_gamma 90.00
_symmetry_space_group_name_H-M 'I -4 3 d'
_symmetry_Int_Tables_number 220
_symmetry_space_group_name_Hall 'I -4bd 2c 3'
loop_
_atom_site_label
_atom_site_fract_x
_atom_site_fract_y
_atom_site_fract_z
Nd1 0.0727 0.0727 0.0727
Ga1 0.0000 0.2500 0.3750
```

The 12 most intense peaks (2θ = 10–80°), in order of falling intensity:
2θ = 30.76°, I = 100
2θ = 36.58°, I = 72
2θ = 50.64°, I = 30
2θ = 62.26°, I = 24
2θ = 48.52°, I = 24
2θ = 23.71°, I = 17
2θ = 65.85°, I = 16
2θ = 64.07°, I = 13
2θ = 76.09°, I = 12
2θ = 27.44°, I = 9
2θ = 71.05°, I = 7
2θ = 46.33°, I = 6

---

For Nd9Ga4, a DFT-relaxed cell (GGA-PBE, Alexandria) gives the simulated powder diffractogram in this record (Cu Ka).

Crystal structure
```
data_Nd9Ga4
_chemical_formula_sum 'Nd18 Ga8'
_cell_length_a 12.0868
_cell_length_b 12.0868
_cell_length_c 5.1954
_cell_angle_alpha 90.00
_cell_angle_beta 90.00
_cell_angle_gamma 90.00
_symmetry_space_group_name_H-M 'I 4/m'
_symmetry_Int_Tables_number 87
_symmetry_space_group_name_Hall '-I 4'
loop_
_atom_site_label
_atom_site_fract_x
_atom_site_fract_y
_atom_site_fract_z
Nd1 0.0000 0.0000 0.0000
Nd2 0.0946 0.3734 0.0000
Nd3 0.1109 0.1850 0.5000
Ga1 0.1137 0.7689 0.0000
```

The 12 most intense peaks (2θ = 10–80°), in order of falling intensity:
2θ = 31.77°, I = 100
2θ = 34.53°, I = 29
2θ = 28.03°, I = 26
2θ = 60.13°, I = 21
2θ = 37.96°, I = 17
2θ = 29.56°, I = 14
2θ = 58.35°, I = 14
2θ = 52.24°, I = 14
2θ = 35.15°, I = 10
2θ = 64.72°, I = 9
2θ = 46.08°, I = 9
2θ = 65.35°, I = 8

---

For Nd3Ga2, a DFT-relaxed cell (GGA-PBE, Alexandria) gives the simulated powder diffractogram in this record (Cu Ka).

Crystal structure
```
data_Nd3Ga2
_chemical_formula_sum 'Nd3 Ga2'
_cell_length_a 5.1074
_cell_length_b 5.1413
_cell_length_c 6.3309
_cell_angle_alpha 89.31
_cell_angle_beta 89.64
_cell_angle_gamma 60.77
_symmetry_space_group_name_H-M 'P -1'
_symmetry_Int_Tables_number 2
loop_
_symmetry_equiv_pos_as_xyz
'x,y,z'
'-x,-y,-z'
loop_
_atom_site_label
_atom_site_fract_x
_atom_site_fract_y
_atom_site_fract_z
Nd1 0.0000 0.0000 0.0000
Nd2 0.3331 0.3296 0.6592
Ga1 0.3337 0.3382 0.1674
```

The 12 most intense peaks (2θ = 10–80°), in order of falling intensity:
2θ = 34.73°, I = 100
2θ = 34.88°, I = 98
2θ = 34.60°, I = 51
2θ = 35.14°, I = 48
2θ = 24.42°, I = 38
2θ = 24.20°, I = 30
2θ = 24.69°, I = 29
2θ = 62.03°, I = 27
2θ = 50.05°, I = 19
2θ = 62.24°, I = 18
2θ = 49.56°, I = 18
2θ = 62.69°, I = 18

---

For Nd3Ga, a DFT-relaxed cell (GGA-PBE, Alexandria) gives the simulated powder diffractogram in this record (Cu Ka).

Crystal structure
```
data_Nd3Ga
_chemical_formula_sum 'Nd24 Ga8'
_cell_length_a 12.4304
_cell_length_b 12.4304
_cell_length_c 6.3007
_cell_angle_alpha 90.00
_cell_angle_beta 90.00
_cell_angle_gamma 90.00
_symmetry_space_group_name_H-M 'I -4'
_symmetry_Int_Tables_number 82
loop_
_symmetry_equiv_pos_as_xyz
'x,y,z'
'y,-x,-z'
'-x,-y,z'
'-y,x,-z'
'x+1/2,y+1/2,z+1/2'
'y+1/2,-x+1/2,-z+1/2'
'-x+1/2,-y+1/2,z+1/2'
'-y+1/2,x+1/2,-z+1/2'
loop_
_atom_site_label
_atom_site_fract_x
_atom_site_fract_y
_atom_site_fract_z
Nd1 0.0374 0.3647 0.4859
Nd2 0.0784 0.8804 0.2352
Nd3 0.1733 0.7848 0.7404
Ga1 0.0497 0.2992 0.9802
```

The 12 most intense peaks (2θ = 10–80°), in order of falling intensity:
2θ = 29.54°, I = 100
2θ = 32.94°, I = 94
2θ = 30.13°, I = 67
2θ = 32.21°, I = 53
2θ = 36.55°, I = 49
2θ = 53.14°, I = 32
2θ = 30.51°, I = 28
2θ = 51.78°, I = 24
2θ = 25.73°, I = 21
2θ = 50.91°, I = 20
2θ = 35.05°, I = 19
2θ = 38.95°, I = 19

---

For NdGa2Ni3, a DFT-relaxed cell (GGA-PBE, Alexandria) gives the simulated powder diffractogram in this record (Cu Ka).

Crystal structure
```
data_NdGa2Ni3
_chemical_formula_sum 'Nd3 Ga6 Ni9'
_cell_length_a 8.9073
_cell_length_b 8.9073
_cell_length_c 4.1323
_cell_angle_alpha 90.00
_cell_angle_beta 90.00
_cell_angle_gamma 120.00
_symmetry_space_group_name_H-M 'P -6 2 m'
_symmetry_Int_Tables_number 189
_symmetry_space_group_name_Hall 'P -6 -2'
loop_
_atom_site_label
_atom_site_fract_x
_atom_site_fract_y
_atom_site_fract_z
Nd1 0.0000 0.0000 0.0000
Nd2 0.3333 0.6667 0.5000
Ga1 0.0000 0.4732 0.0000
Ga2 0.0000 0.7268 0.5000
Ni1 0.0000 0.2876 0.5000
Ni2 0.1692 0.7946 0.0000
```

The 12 most intense peaks (2θ = 10–80°), in order of falling intensity:
2θ = 37.76°, I = 100
2θ = 31.74°, I = 70
2θ = 41.36°, I = 68
2θ = 40.51°, I = 56
2θ = 43.82°, I = 53
2θ = 34.89°, I = 40
2θ = 61.19°, I = 32
2θ = 46.32°, I = 32
2θ = 57.19°, I = 19
2θ = 64.47°, I = 18
2θ = 71.87°, I = 17
2θ = 68.22°, I = 15

---

For Nd3Ga5Ni6, a DFT-relaxed cell (GGA-PBE, Alexandria) gives the simulated powder diffractogram in this record (Cu Ka).

Crystal structure
```
data_Nd3Ga5Ni6
_chemical_formula_sum 'Nd6 Ga10 Ni12'
_cell_length_a 4.1049
_cell_length_b 12.2979
_cell_length_c 9.6540
_cell_angle_alpha 90.00
_cell_angle_beta 90.00
_cell_angle_gamma 90.00
_symmetry_space_group_name_H-M 'P m m n'
_symmetry_Int_Tables_number 59
loop_
_symmetry_equiv_pos_as_xyz
'x,y,z'
'-x,-y,-z'
'-x+1/2,-y+1/2,z'
'x+1/2,y+1/2,-z'
'x+1/2,-y,-z'
'-x+1/2,y,z'
'-x,y+1/2,-z'
'x,-y+1/2,z'
loop_
_atom_site_label
_atom_site_fract_x
_atom_site_fract_y
_atom_site_fract_z
Nd1 0.2500 0.0847 0.2479
Nd2 0.2500 0.7500 0.2559
Ga1 0.2500 0.0802 0.6413
Ga2 0.2500 0.6305 0.9859
Ga3 0.2500 0.7500 0.6193
Ni1 0.2500 0.0556 0.9022
Ni2 0.2500 0.2500 0.5082
Ni3 0.2500 0.2500 0.9850
Ni4 0.2500 0.5795 0.4932
```

The 12 most intense peaks (2θ = 10–80°), in order of falling intensity:
2θ = 36.13°, I = 100
2θ = 35.45°, I = 83
2θ = 44.15°, I = 55
2θ = 57.86°, I = 34
2θ = 30.83°, I = 22
2θ = 52.37°, I = 21
2θ = 23.57°, I = 19
2θ = 70.85°, I = 18
2θ = 75.95°, I = 17
2θ = 66.45°, I = 17
2θ = 64.22°, I = 13
2θ = 37.26°, I = 10

---

For Nd4Ga17Ni2, a DFT-relaxed cell (GGA-PBE, Alexandria) gives the simulated powder diffractogram in this record (Cu Ka).

Crystal structure
```
data_Nd4Ga17Ni2
_chemical_formula_sum 'Nd8 Ga34 Ni4'
_cell_length_a 4.2562
_cell_length_b 4.3574
_cell_length_c 48.1909
_cell_angle_alpha 90.00
_cell_angle_beta 90.00
_cell_angle_gamma 90.00
_symmetry_space_group_name_H-M 'I m m 2'
_symmetry_Int_Tables_number 44
loop_
_symmetry_equiv_pos_as_xyz
'x,y,z'
'-x,-y,z'
'-x,y,z'
'x,-y,z'
'x+1/2,y+1/2,z+1/2'
'-x+1/2,-y+1/2,z+1/2'
'-x+1/2,y+1/2,z+1/2'
'x+1/2,-y+1/2,z+1/2'
loop_
_atom_site_label
_atom_site_fract_x
_atom_site_fract_y
_atom_site_fract_z
Nd1 0.0000 0.0000 0.0000
Nd2 0.0000 0.0000 0.1548
Nd3 0.0000 0.0000 0.3845
Nd4 0.0000 0.0000 0.7711
Ga1 0.0000 0.0000 0.2457
Ga2 0.0000 0.0000 0.2971
Ga3 0.0000 0.0000 0.4712
Ga4 0.0000 0.0000 0.5230
Ga5 0.0000 0.0000 0.6337
Ga6 0.0000 0.0000 0.6846
Ga7 0.0000 0.0000 0.8579
Ga8 0.0000 0.0000 0.9093
Ga9 0.0000 0.5000 0.0985
Ga10 0.0000 0.5000 0.2154
Ga11 0.0000 0.5000 0.3270
Ga12 0.0000 0.5000 0.4409
Ga13 0.0000 0.5000 0.5508
Ga14 0.0000 0.5000 0.6040
Ga15 0.0000 0.5000 0.7142
Ga16 0.0000 0.5000 0.8282
Ga17 0.0000 0.5000 0.9400
Ni1 0.0000 0.0000 0.0774
Ni2 0.0000 0.5000 0.0470
```

The 12 most intense peaks (2θ = 10–80°), in order of falling intensity:
2θ = 32.96°, I = 100
2θ = 41.45°, I = 51
2θ = 32.02°, I = 50
2θ = 42.48°, I = 46
2θ = 34.86°, I = 44
2θ = 31.69°, I = 43
2θ = 60.85°, I = 31
2θ = 45.09°, I = 27
2θ = 53.31°, I = 24
2θ = 53.95°, I = 19
2θ = 29.33°, I = 17
2θ = 58.28°, I = 16

---

For Nd6Ga2Ni, a DFT-relaxed cell (GGA-PBE, Alexandria) gives the simulated powder diffractogram in this record (Cu Ka).

Crystal structure
```
data_Nd6Ga2Ni
_chemical_formula_sum 'Nd12 Ga4 Ni2'
_cell_length_a 7.2486
_cell_length_b 7.2486
_cell_length_c 11.3936
_cell_angle_alpha 90.00
_cell_angle_beta 90.00
_cell_angle_gamma 90.00
_symmetry_space_group_name_H-M 'P 42/m n m'
_symmetry_Int_Tables_number 136
_symmetry_space_group_name_Hall '-P 4n 2n'
loop_
_atom_site_label
_atom_site_fract_x
_atom_site_fract_y
_atom_site_fract_z
Nd1 0.2044 0.2044 0.1710
Nd2 0.2445 0.2445 0.5000
Ga1 0.0000 0.0000 0.3712
Ni1 0.0000 0.0000 0.0000
```

The 12 most intense peaks (2θ = 10–80°), in order of falling intensity:
2θ = 29.27°, I = 100
2θ = 35.01°, I = 38
2θ = 24.56°, I = 36
2θ = 46.26°, I = 36
2θ = 44.44°, I = 20
2θ = 17.30°, I = 18
2θ = 27.52°, I = 18
2θ = 36.44°, I = 17
2θ = 54.57°, I = 15
2θ = 74.82°, I = 12
2θ = 60.70°, I = 11
2θ = 47.91°, I = 9